# CsTlCoF4
Computed powder diffractogram, Cu Ka. Input: DFT lattice parameters and positions (GGA+U).
Intensities are scaled so that the largest is 100.

Atomic structure:
abc: 5.956 6.508 8.314
angles: 90.00 105.88 90.00
Space group P2_1/m (No. 11)
Asymmetric unit:
Cs  0.224  0.250  0.085 (multiplicity 2)
Tl  0.172  0.750  0.531 (multiplicity 2)
Co  0.445  0.250  0.708 (multiplicity 2)
F  0.224  0.750  0.189 (multiplicity 2)
F  0.310  0.006  0.777 (multiplicity 4)
F  0.378  0.250  0.465 (multiplicity 2)

Largest 8 diffraction maxima, by angle, 2θ from 5° to 70°:
| 2θ (°) | I (rel.) |
| --- | --- |
| 11.1 | 31 |
| 21.4 | 42 |
| 23.4 | 60 |
| 25.5 | 100 |
| 27.4 | 57 |
| 33.2 | 52 |
| 36.4 | 70 |
| 52.3 | 29 |